For Li5Mn2NiO8, a GGA+U-relaxed structure gives the theoretical XRD peak list in this record (Cu Kα).
Intensities are scaled so that the largest is 100.

Cell and atoms:
Cell lengths 5.813, 5.813, 5.796 Å; angles 119.54, 119.54, 59.09 degrees
Fractional coordinates of all 16 atoms:
Li: 0.000 0.000 0.000
Li: 0.000 0.000 0.500
Li: 0.000 0.500 0.000
Li: 0.500 0.000 0.000
Li: 0.500 0.500 0.000
Mn: 0.000 0.500 0.500
Mn: 0.500 0.000 0.500
Ni: 0.500 0.500 0.500
O: 0.243 0.243 0.264
O: 0.245 0.718 0.717
O: 0.250 0.250 0.727
O: 0.282 0.755 0.283
O: 0.718 0.245 0.717
O: 0.750 0.750 0.273
O: 0.755 0.282 0.283
O: 0.757 0.757 0.736

The 10 most intense peaks (2θ from 5° to 70°), sorted by position:
Position (°2θ), I/Imax
18.58, 100
18.77, 32
21.80, 14
35.95, 19
36.63, 26
43.44, 31
44.45, 59
58.61, 10
63.71, 16
64.09, 16